Simulated PXRD pattern
Compound: TlVCrF6
Radiation: Cu Kα (λ = 1.5418 Å)
Structure: a cell relaxed with GGA+U
Intensities are scaled so that the largest is 100.

```
data_TlVCrF6
_chemical_formula_sum 'Tl4 V4 Cr4 F24'
_cell_length_a 7.2586
_cell_length_b 7.7542
_cell_length_c 10.7841
_cell_angle_alpha 90.00
_cell_angle_beta 90.00
_cell_angle_gamma 90.00
_space_group_name_H-M_alt 'I m m a'
_space_group_IT_number 74
_space_group_name_Hall '-I 2b 2'
loop_
_atom_site_label
_atom_site_type_symbol
_atom_site_fract_x
_atom_site_fract_y
_atom_site_fract_z
Tl1 Tl 0.0000 0.2500 0.1088
V1 V 0.0000 0.0000 0.5000
Cr1 Cr 0.2500 0.2500 0.7500
F1 F 0.0000 0.2500 0.4513
F2 F 0.0000 0.2500 0.8287
F3 F 0.1934 0.0352 0.6238
```

Main lines, by intensity (10 to 80 degrees two-theta):
- hkl 0 1 3, 3.260 Å, I 100.0
- hkl 1 1 2, 3.779 Å, I 57.4
- hkl 2 1 1, 3.144 Å, I 41.6
- hkl 2 2 4, 1.890 Å, I 32.6
- hkl 1 0 5, 2.067 Å, I 16.5
- hkl 1 0 3, 3.221 Å, I 16.1
- hkl 0 3 3, 2.099 Å, I 15.7
- hkl 0 2 0, 3.877 Å, I 14.7
- hkl 2 2 0, 2.650 Å, I 14.0
- hkl 2 1 3, 2.426 Å, I 13.7